The following is a computed powder diffractogram of NaNpAgTe3. It was derived from the GGA-PBE geometry in OQMD, using Cu Kα, 1.54184 Å.

Main lines, sorted by position (2θ = 10–80°):
2θ 12.16, I = 81
2θ 26.59, I = 20
2θ 27.44, I = 29
2θ 28.57, I = 28
2θ 31.58, I = 29
2θ 31.74, I = 100
2θ 40.43, I = 22
2θ 40.47, I = 37
2θ 41.26, I = 24
2θ 44.39, I = 23

Cell and atoms:
```
data_NaNpAgTe3
_cell_length_a 7.601
_cell_length_b 7.601
_cell_length_c 11.331
_cell_angle_alpha 90.00
_cell_angle_beta 90.00
_cell_angle_gamma 146.54
_space_group_name_H-M_alt 'P 1'
_space_group_IT_number 1
_space_group_name_Hall 'P 1'
loop_
_atom_site_label
_atom_site_fract_x
_atom_site_fract_y
_atom_site_fract_z
Na1 0.232 0.768 0.750
Na2 0.768 0.232 0.250
Np1 0.000 0.000 0.000
Np2 0.000 0.000 0.500
Ag1 0.469 0.531 0.250
Ag2 0.531 0.469 0.750
Te1 0.090 0.910 0.250
Te2 0.358 0.642 0.052
Te3 0.358 0.642 0.448
Te4 0.642 0.358 0.552
Te5 0.642 0.358 0.948
Te6 0.910 0.090 0.750
```